For Li2DyHf2S6, a DFT-relaxed cell (GGA-PBE, Alexandria) gives the simulated X-ray diffraction stick pattern in this record (Cu Ka).
No peak broadening, texture or thermal motion is included.

Crystal structure
a b c (Å): 6.449 6.449 6.569
angles (deg): 99.38 99.38 120.46
Element x y z (fractional)
1 Li 0.166 0.834 0.000
2 Li 0.834 0.166 0.000
3 Dy 0.000 0.000 0.500
4 Hf 0.335 0.665 0.500
5 Hf 0.665 0.335 0.500
6 S 0.077 0.431 0.742
7 S 0.268 0.268 0.255
8 S 0.431 0.077 0.742
9 S 0.569 0.923 0.258
10 S 0.732 0.732 0.745
11 S 0.923 0.569 0.258

Largest 10 diffraction maxima, in order of falling intensity, 2θ = 15–90°:
d = 2.646 Å, I 100; d = 3.176 Å, I 52; d = 3.158 Å, I 26; d = 2.050 Å, I 25; d = 2.440 Å, I 25; d = 1.888 Å, I 24; d = 1.853 Å, I 22; d = 1.776 Å, I 21; d = 3.048 Å, I 19; d = 2.424 Å, I 12